Entry 1:
Structure and theoretical powder diffraction line list of HOs3C10ClO10 (DFT lattice parameters and positions (PBE); Cu Kα, 1.54184 Å).

Structure:
Cell lengths 7.885, 8.934, 13.738 Å; angles 94.86, 102.98, 110.67 degrees
Space group P-1 (No. 2)
Symmetry-distinct sites (fractional):
H1 0.039 0.437 0.372 x2
Os1 0.009 0.544 0.262 x2
Os2 0.093 0.780 0.690 x2
Os3 0.381 0.679 0.797 x2
C1 0.042 0.366 0.857 x2
C2 0.055 0.307 0.665 x2
C3 0.124 0.185 0.385 x2
C4 0.228 0.829 0.592 x2
C5 0.229 0.993 0.767 x2
C6 0.277 0.670 0.310 x2
C7 0.340 0.765 0.922 x2
C8 0.383 0.590 0.662 x2
C9 0.403 0.129 0.194 x2
C10 0.496 0.544 0.863 x2
Cl1 0.071 0.318 0.180 x2
O1 0.071 0.313 0.930 x2
O2 0.092 0.211 0.620 x2
O3 0.250 0.157 0.429 x2
O4 0.272 0.014 0.192 x2
O5 0.307 0.121 0.818 x2
O6 0.312 0.860 0.532 x2
O7 0.325 0.819 0.998 x2
O8 0.388 0.539 0.583 x2
O9 0.432 0.536 0.096 x2
O10 0.437 0.750 0.337 x2

Most intense lines, 2θ = 10–90°, sorted by position:
hkl	Position (°2θ)	intensity
0 1 0	10.76	35
1 0 -1	12.46	67
1 -1 0	12.98	40
0 0 2	13.45	100
0 1 1	13.68	43
-1 1 2	17.64	45

=====

Entry 2:
Structure and theoretical powder diffraction line list of Te4H4Pb12C2Cl3O29 (DFT lattice parameters and positions (PBE); Cu Kα, 1.54184 Å).

Structure:
Cell lengths 7.747, 11.177, 12.173 Å; angles 117.21, 99.58, 90.02 degrees
Space group P1 (No. 1)
Symmetry-distinct sites (fractional):
Te1 0.000 0.000 0.000 x1
Te2 0.223 0.576 0.154 x1
Te3 0.498 0.596 0.000 x1
Te4 0.723 0.173 0.153 x1
H1 0.033 0.992 0.520 x1
H2 0.182 0.057 0.636 x1
H3 0.533 0.117 0.520 x1
H4 0.691 0.173 0.634 x1
Pb1 0.022 0.629 0.854 x1
Pb2 0.201 0.349 0.295 x1
Pb3 0.340 0.776 0.471 x1
Pb4 0.355 0.180 0.945 x1
Pb5 0.382 0.981 0.187 x1
Pb6 0.383 0.397 0.683 x1
Pb7 0.522 0.820 0.854 x1
Pb8 0.700 0.541 0.299 x1
Pb9 0.839 0.288 0.470 x1
Pb10 0.839 0.370 0.968 x1
Pb11 0.882 0.884 0.685 x1
Pb12 0.885 0.802 0.187 x1
C1 0.110 0.602 0.577 x1
C2 0.611 0.571 0.577 x1
Cl1 0.020 0.279 0.749 x1
Cl2 0.204 0.107 0.404 x1
Cl3 0.704 0.892 0.405 x1
O1 0.027 0.582 0.033 x1
O2 0.070 0.707 0.673 x1
O3 0.096 0.006 0.867 x1
O4 0.102 0.419 0.141 x1
O5 0.110 0.486 0.578 x1
O6 0.114 0.971 0.578 x1
O7 0.115 0.853 0.014 x1
O8 0.128 0.717 0.287 x1
O9 0.150 0.611 0.481 x1
O10 0.194 0.123 0.123 x1
O11 0.318 0.594 0.864 x1
O12 0.354 0.459 0.019 x1
O13 0.368 0.713 0.136 x1
O14 0.403 0.578 0.290 x1
O15 0.515 0.069 0.781 x1
O16 0.528 0.046 0.030 x1
O17 0.575 0.562 0.674 x1
O18 0.594 0.455 0.868 x1
O19 0.607 0.200 0.582 x1
O20 0.607 0.318 0.137 x1
O21 0.612 0.687 0.577 x1
O22 0.616 0.756 0.015 x1
O23 0.626 0.165 0.285 x1
O24 0.648 0.465 0.480 x1
O25 0.695 0.591 0.121 x1
O26 0.818 0.867 0.864 x1
O27 0.853 0.154 0.017 x1
O28 0.867 0.017 0.135 x1
O29 0.904 0.306 0.289 x1

Most intense lines, 2θ = 10–90°, sorted by position:
hkl	Position (°2θ)	intensity
2 0 -1	23.34	48
-1 2 1	24.44	46
2 1 0	25.81	34
1 1 2	27.06	73
1 3 -1	27.32	100
-1 2 2	30.31	51

=====

Entry 3:
Structure and theoretical powder diffraction line list of H2RuC3Cl2O4 (DFT lattice parameters and positions (PBE); Cu Kα, 1.54184 Å).

Structure:
Cell lengths 6.329, 10.430, 12.817 Å; angles 90.00, 111.56, 90.00 degrees
Space group P2_1/c (No. 14)
Symmetry-distinct sites (fractional):
H1 0.238 0.077 0.075 x4
H2 0.240 0.507 0.476 x4
Ru1 0.034 0.221 0.887 x4
C1 0.176 0.666 0.213 x4
C2 0.204 0.140 0.475 x4
C3 0.212 0.215 0.795 x4
Cl1 0.181 0.538 0.717 x4
Cl2 0.193 0.720 0.495 x4
O1 0.261 0.083 0.003 x4
O2 0.302 0.055 0.528 x4
O3 0.310 0.598 0.272 x4
O4 0.317 0.211 0.738 x4

Most intense lines, 2θ = 10–90°, sorted by position:
hkl	Position (°2θ)	intensity
1 0 0	15.05	86
0 2 0	17.00	45
0 1 2	17.13	100
1 1 -2	18.88	65
2 0 -4	34.05	47
1 3 2	36.00	49